No. 1
This entry pairs a crystal structure of Na2In5Au6 with its theoretical X-ray powder pattern. Radiation: a wavelength of 1.5418 Å. Structure: the PBE geometry in the Materials Project.
No peak broadening, texture or thermal motion is included.

Structural model:
```
data_Na2In5Au6
_cell_length_a 9.4789
_cell_length_b 9.4789
_cell_length_c 9.4789
_cell_angle_alpha 90.00
_cell_angle_beta 90.00
_cell_angle_gamma 90.00
_space_group_name_H-M_alt 'P m -3'
_space_group_IT_number 200
_space_group_name_Hall '-P 2 2 3'
loop_
_atom_site_label
_atom_site_type_symbol
_atom_site_fract_x
_atom_site_fract_y
_atom_site_fract_z
Na1 Na 0.0000 0.3281 0.5000
In1 In 0.0000 0.5000 0.1623
In2 In 0.2166 0.2166 0.2166
In3 In 0.5000 0.5000 0.5000
Au1 Au 0.0000 0.0000 0.2350
Au2 Au 0.2406 0.5000 0.3269
```

Peak list (10 most intense, 2θ from 5° to 70°, sorted by position)
- 2θ 13.21, d = 6.703 Å, intensity 31
- 2θ 20.96, d = 4.239 Å, intensity 26
- 2θ 28.24, d = 3.160 Å, intensity 14
- 2θ 34.10, d = 2.629 Å, intensity 19
- 2θ 35.43, d = 2.533 Å, intensity 35
- 2θ 37.97, d = 2.370 Å, intensity 41
- 2θ 39.19, d = 2.299 Å, intensity 100
- 2θ 40.37, d = 2.234 Å, intensity 14
- 2θ 60.18, d = 1.538 Å, intensity 13
- 2θ 69.40, d = 1.354 Å, intensity 18

=====

No. 2
This entry pairs a crystal structure of NdIn4Au2 with its theoretical X-ray powder pattern. Radiation: a wavelength of 1.5418 Å. Structure: the PBE geometry in the Materials Project.
No peak broadening, texture or thermal motion is included.

Structural model:
```
data_NdIn4Au2
_cell_length_a 18.9334
_cell_length_b 4.7106
_cell_length_c 7.5394
_cell_angle_alpha 90.00
_cell_angle_beta 90.00
_cell_angle_gamma 90.00
_space_group_name_H-M_alt 'P n m a'
_space_group_IT_number 62
_space_group_name_Hall '-P 2ac 2n'
loop_
_atom_site_label
_atom_site_type_symbol
_atom_site_fract_x
_atom_site_fract_y
_atom_site_fract_z
Nd1 Nd 0.1421 0.2500 0.0260
In1 In 0.0356 0.7500 0.8547
In2 In 0.0679 0.2500 0.4887
In3 In 0.1850 0.7500 0.3265
In4 In 0.1881 0.7500 0.7363
Au1 Au 0.0392 0.7500 0.2438
Au2 Au 0.2186 0.2500 0.5341
```

Peak list (10 most intense, 2θ from 5° to 70°, sorted by position)
- 2θ 31.84, d = 2.811 Å, intensity 100
- 2θ 32.58, d = 2.748 Å, intensity 67
- 2θ 34.20, d = 2.622 Å, intensity 17
- 2θ 35.25, d = 2.546 Å, intensity 30
- 2θ 38.21, d = 2.355 Å, intensity 56
- 2θ 41.84, d = 2.159 Å, intensity 27
- 2θ 41.98, d = 2.152 Å, intensity 38
- 2θ 42.76, d = 2.115 Å, intensity 16
- 2θ 52.96, d = 1.729 Å, intensity 19
- 2θ 60.68, d = 1.526 Å, intensity 16

=====

No. 3
This entry pairs a crystal structure of NdInAu with its theoretical X-ray powder pattern. Radiation: a wavelength of 1.5418 Å. Structure: the PBE geometry in the Materials Project.
No peak broadening, texture or thermal motion is included.

Structural model:
```
data_NdInAu
_cell_length_a 7.8413
_cell_length_b 7.8413
_cell_length_c 4.2216
_cell_angle_alpha 90.00
_cell_angle_beta 90.00
_cell_angle_gamma 120.00
_space_group_name_H-M_alt 'P -6 2 m'
_space_group_IT_number 189
_space_group_name_Hall 'P -6 -2'
loop_
_atom_site_label
_atom_site_type_symbol
_atom_site_fract_x
_atom_site_fract_y
_atom_site_fract_z
Nd1 Nd 0.0000 0.5873 0.0000
In1 In 0.0000 0.2513 0.5000
Au1 Au 0.0000 0.0000 0.0000
Au2 Au 0.3333 0.6667 0.5000
```

Peak list (10 most intense, 2θ from 5° to 70°, sorted by position)
- 2θ 22.68, d = 3.921 Å, intensity 19
- 2θ 31.13, d = 2.873 Å, intensity 67
- 2θ 33.88, d = 2.646 Å, intensity 100
- 2θ 34.96, d = 2.567 Å, intensity 31
- 2θ 39.82, d = 2.264 Å, intensity 40
- 2θ 41.16, d = 2.193 Å, intensity 41
- 2θ 42.84, d = 2.111 Å, intensity 27
- 2θ 56.44, d = 1.630 Å, intensity 15
- 2θ 59.92, d = 1.544 Å, intensity 24
- 2θ 63.67, d = 1.462 Å, intensity 31

=====

No. 4
This entry pairs a crystal structure of InAuO2 with its theoretical X-ray powder pattern. Radiation: a wavelength of 1.5418 Å. Structure: the PBE geometry in the Materials Project.
No peak broadening, texture or thermal motion is included.

Structural model:
```
data_InAuO2
_cell_length_a 3.3697
_cell_length_b 3.3697
_cell_length_c 12.5523
_cell_angle_alpha 90.00
_cell_angle_beta 90.00
_cell_angle_gamma 120.00
_space_group_name_H-M_alt 'P 63/m m c'
_space_group_IT_number 194
_space_group_name_Hall '-P 6c 2c'
loop_
_atom_site_label
_atom_site_type_symbol
_atom_site_fract_x
_atom_site_fract_y
_atom_site_fract_z
In1 In 0.0000 0.0000 0.0000
Au1 Au 0.3333 0.6667 0.2500
O1 O 0.3333 0.6667 0.0843
```

Peak list (10 most intense, 2θ from 5° to 70°, sorted by position)
- 2θ 28.44, d = 3.138 Å, intensity 53
- 2θ 31.47, d = 2.842 Å, intensity 98
- 2θ 33.88, d = 2.646 Å, intensity 100
- 2θ 37.58, d = 2.394 Å, intensity 36
- 2θ 47.79, d = 1.903 Å, intensity 30
- 2θ 53.93, d = 1.700 Å, intensity 32
- 2θ 54.46, d = 1.685 Å, intensity 35
- 2θ 60.61, d = 1.528 Å, intensity 15
- 2θ 62.58, d = 1.484 Å, intensity 36
- 2θ 65.70, d = 1.421 Å, intensity 15

=====

- What is the formula in the fourth record?
  InAuO2

=====

Copy entry 4 word for word.
This entry pairs a crystal structure of InAuO2 with its theoretical X-ray powder pattern. Radiation: a wavelength of 1.5418 Å. Structure: the PBE geometry in the Materials Project.
No peak broadening, texture or thermal motion is included.

Structural model:
```
data_InAuO2
_cell_length_a 3.3697
_cell_length_b 3.3697
_cell_length_c 12.5523
_cell_angle_alpha 90.00
_cell_angle_beta 90.00
_cell_angle_gamma 120.00
_space_group_name_H-M_alt 'P 63/m m c'
_space_group_IT_number 194
_space_group_name_Hall '-P 6c 2c'
loop_
_atom_site_label
_atom_site_type_symbol
_atom_site_fract_x
_atom_site_fract_y
_atom_site_fract_z
In1 In 0.0000 0.0000 0.0000
Au1 Au 0.3333 0.6667 0.2500
O1 O 0.3333 0.6667 0.0843
```

Peak list (10 most intense, 2θ from 5° to 70°, sorted by position)
- 2θ 28.44, d = 3.138 Å, intensity 53
- 2θ 31.47, d = 2.842 Å, intensity 98
- 2θ 33.88, d = 2.646 Å, intensity 100
- 2θ 37.58, d = 2.394 Å, intensity 36
- 2θ 47.79, d = 1.903 Å, intensity 30
- 2θ 53.93, d = 1.700 Å, intensity 32
- 2θ 54.46, d = 1.685 Å, intensity 35
- 2θ 60.61, d = 1.528 Å, intensity 15
- 2θ 62.58, d = 1.484 Å, intensity 36
- 2θ 65.70, d = 1.421 Å, intensity 15

=====

- Which formula does entry 1 have?
  Na2In5Au6